1.
For La2Pt17, a DFT-relaxed cell (PBE, Alexandria) gives the calculated powder X-ray diffraction pattern in this record (λ = 1.5418 Å (Cu Kα)).
Intensities are scaled so that the largest is 100.

Structural model:
abc: 7.010 7.010 7.010
angles: 83.59 83.59 83.59
Sites, in units of the cell vectors:
La 0.163 0.163 0.163
La 0.837 0.837 0.837
Pt 0.000 0.500 0.500
Pt 0.153 0.153 0.660
Pt 0.153 0.660 0.153
Pt 0.194 0.500 0.806
Pt 0.194 0.806 0.500
Pt 0.340 0.847 0.847
Pt 0.395 0.395 0.395
Pt 0.500 0.000 0.500
Pt 0.500 0.194 0.806
Pt 0.500 0.500 0.000
Pt 0.500 0.806 0.194
Pt 0.605 0.605 0.605
Pt 0.660 0.153 0.153
Pt 0.806 0.194 0.500
Pt 0.806 0.500 0.194
Pt 0.847 0.340 0.847
Pt 0.847 0.847 0.340

Peak list (10 most intense, 5° ≤ 2θ ≤ 70°, most intense first)
| d [Å] | Rel. int. |
| --- | --- |
| 2.071 | 100 |
| 2.310 | 94 |
| 2.336 | 55 |
| 2.238 | 53 |
| 2.697 | 31 |
| 1.349 | 29 |
| 2.018 | 28 |
| 4.672 | 21 |
| 2.584 | 19 |
| 1.471 | 19 |



2.
For La5Pt3, a DFT-relaxed cell (PBE, Alexandria) gives the calculated powder X-ray diffraction pattern in this record (λ = 1.5418 Å (Cu Kα)).
Intensities are scaled so that the largest is 100.

Structural model:
abc: 11.558 11.558 6.788
angles: 90.00 90.00 90.00
Sites, in units of the cell vectors:
La 0.043 0.158 0.119
La 0.043 0.342 0.619
La 0.158 0.043 0.619
La 0.158 0.457 0.119
La 0.250 0.750 0.000
La 0.250 0.750 0.500
La 0.342 0.043 0.119
La 0.342 0.457 0.619
La 0.457 0.158 0.619
La 0.457 0.342 0.119
La 0.543 0.658 0.881
La 0.543 0.842 0.381
La 0.658 0.543 0.381
La 0.658 0.957 0.881
La 0.750 0.250 0.000
La 0.750 0.250 0.500
La 0.842 0.543 0.881
La 0.842 0.957 0.381
La 0.957 0.658 0.381
La 0.957 0.842 0.881
Pt 0.096 0.596 0.750
Pt 0.096 0.904 0.250
Pt 0.250 0.250 0.379
Pt 0.250 0.250 0.879
Pt 0.404 0.596 0.250
Pt 0.404 0.904 0.750
Pt 0.596 0.096 0.250
Pt 0.596 0.404 0.750
Pt 0.750 0.750 0.121
Pt 0.750 0.750 0.621
Pt 0.904 0.096 0.750
Pt 0.904 0.404 0.250

Peak list (10 most intense, 5° ≤ 2θ ≤ 70°, most intense first)
| d [Å] | Rel. int. |
| --- | --- |
| 2.588 | 100 |
| 2.837 | 42 |
| 3.218 | 33 |
| 2.899 | 30 |
| 2.487 | 28 |
| 4.112 | 28 |
| 2.073 | 24 |
| 2.547 | 23 |
| 2.046 | 22 |
| 2.200 | 15 |



3.
For La3Pt2, a DFT-relaxed cell (PBE, Alexandria) gives the calculated powder X-ray diffraction pattern in this record (λ = 1.5418 Å (Cu Kα)).
Intensities are scaled so that the largest is 100.

Structural model:
abc: 8.030 8.030 8.030
angles: 54.91 54.91 54.91
Sites, in units of the cell vectors:
La 0.070 0.750 0.430
La 0.250 0.570 0.930
La 0.430 0.070 0.750
La 0.570 0.930 0.250
La 0.750 0.430 0.070
La 0.930 0.250 0.570
Pt 0.161 0.161 0.161
Pt 0.339 0.339 0.339
Pt 0.661 0.661 0.661
Pt 0.839 0.839 0.839

Peak list (10 most intense, 5° ≤ 2θ ≤ 70°, most intense first)
| d [Å] | Rel. int. |
| --- | --- |
| 2.504 | 100 |
| 3.251 | 76 |
| 2.138 | 59 |
| 5.428 | 36 |
| 1.626 | 27 |
| 3.991 | 24 |
| 1.933 | 17 |
| 2.714 | 14 |
| 3.702 | 13 |
| 1.786 | 13 |



4.
For La2Pu2Pt15, a DFT-relaxed cell (PBE, Alexandria) gives the calculated powder X-ray diffraction pattern in this record (λ = 1.5418 Å (Cu Kα)).
Intensities are scaled so that the largest is 100.

Structural model:
abc: 7.131 7.131 7.131
angles: 82.66 82.66 82.66
Sites, in units of the cell vectors:
La 0.147 0.147 0.147
La 0.853 0.853 0.853
Pu 0.402 0.402 0.402
Pu 0.598 0.598 0.598
Pt 0.000 0.500 0.500
Pt 0.154 0.154 0.661
Pt 0.154 0.661 0.154
Pt 0.185 0.500 0.815
Pt 0.185 0.815 0.500
Pt 0.339 0.846 0.846
Pt 0.500 0.000 0.500
Pt 0.500 0.185 0.815
Pt 0.500 0.500 0.000
Pt 0.500 0.815 0.185
Pt 0.661 0.154 0.154
Pt 0.815 0.185 0.500
Pt 0.815 0.500 0.185
Pt 0.846 0.339 0.846
Pt 0.846 0.846 0.339

Peak list (10 most intense, 5° ≤ 2θ ≤ 70°, most intense first)
| d [Å] | Rel. int. |
| --- | --- |
| 2.097 | 100 |
| 2.342 | 99 |
| 2.355 | 57 |
| 2.305 | 43 |
| 2.719 | 37 |
| 1.359 | 37 |
| 2.071 | 37 |
| 1.409 | 24 |
| 1.486 | 22 |
| 2.638 | 20 |